[1]
For Hf2Sb2OsPt, a structure optimized by DFT (PBE) gives the theoretical X-ray powder pattern in this record (CuKα).

Structural model:
abc: 7.7665 7.7665 7.7665
angles: 131.73 131.73 70.65
Sites, in units of the cell vectors:
Hf  0.1238  0.1250  0.4988
Hf  0.3750  0.8762  0.0012
Hf  0.6262  0.6250  0.5012
Hf  0.8750  0.3738  0.9988
Sb  0.1152  0.6250  0.9902
Sb  0.3750  0.3652  0.4902
Sb  0.6348  0.1250  0.0098
Sb  0.8750  0.8848  0.5098
Os  0.0000  0.0000  0.0000
Os  0.7500  0.2500  0.5000
Pt  0.2500  0.7500  0.5000
Pt  0.5000  0.5000  0.0000

The 12 most intense peaks (2θ from 10° to 90°), low angle first:
2theta, I/Imax
24.3, 404
28.1, 65
40.2, 1000
47.5, 207
49.8, 17
58.1, 113
58.2, 57
63.9, 87
73.0, 346
78.2, 49
86.7, 38
86.9, 76

***

[2]
For Sm3Al2, a structure optimized by DFT (PBE) gives the theoretical X-ray powder pattern in this record (CuKα).

Structural model:
abc: 8.4275 8.4275 7.6902
angles: 90.00 90.00 90.00
Sites, in units of the cell vectors:
Sm  0.0000  0.5000  0.2500
Sm  0.0000  0.5000  0.7500
Sm  0.1490  0.1490  0.0000
Sm  0.2020  0.2020  0.5000
Sm  0.2980  0.7020  0.0000
Sm  0.3510  0.6490  0.5000
Sm  0.5000  0.0000  0.2500
Sm  0.5000  0.0000  0.7500
Sm  0.6490  0.3510  0.5000
Sm  0.7020  0.2980  0.0000
Sm  0.7980  0.7980  0.5000
Sm  0.8510  0.8510  0.0000
Al  0.1180  0.8820  0.3099
Al  0.1180  0.8820  0.6901
Al  0.3820  0.3820  0.1901
Al  0.3820  0.3820  0.8099
Al  0.6180  0.6180  0.1901
Al  0.6180  0.6180  0.8099
Al  0.8820  0.1180  0.3099
Al  0.8820  0.1180  0.6901

The 12 most intense peaks (2θ from 10° to 90°), low angle first:
2theta, I/Imax
23.6, 506
27.6, 511
30.0, 387
31.5, 1000
33.3, 833
33.6, 700
35.7, 267
44.3, 165
50.6, 201
51.8, 315
57.0, 194
59.3, 234